This entry pairs a crystal structure of LaHg2Au with its calculated powder XRD pattern. Radiation: Cu Kα. Structure: a cell relaxed with PBE.
Intensities are scaled so that the largest is 100.

Structure:
```
data_LaHg2Au
_chemical_formula_sum 'La4 Hg8 Au4'
_space_group_name_H-M_alt 'C 1 2/m 1'
_space_group_IT_number 12
_cell_length_a 6.944
_cell_length_b 6.943
_cell_length_c 9.239
_cell_angle_alpha 90.00
_cell_angle_beta 112.03
_cell_angle_gamma 90.00
loop_
_space_group_symop_operation_xyz
'x,y,z'
'-x,-y,-z'
'-x,y,-z'
'x,-y,z'
'x+1/2,y+1/2,z'
'-x+1/2,-y+1/2,-z'
'-x+1/2,y+1/2,-z'
'x+1/2,-y+1/2,z'
loop_
_atom_site_label
_atom_site_type_symbol
_atom_site_fract_x
_atom_site_fract_y
_atom_site_fract_z
_atom_site_occupancy
La1 La 0.138 0.000 0.278 1
Hg1 Hg 0.136 0.500 0.271 1
Hg2 Hg 0.250 0.250 0.000 1
Au1 Au 0.000 0.251 0.500 1
```

Principal peaks in the range 10° ≤ 2θ ≤ 80°, in order of rising 2θ:
| 2θ (°) | I (rel.) |
| --- | --- |
| 10.33 | 2 |
| 33.22 | 100 |
| 36.61 | 40 |
| 40.93 | 2 |
| 42.21 | 11 |
| 52.73 | 14 |
| 57.08 | 19 |
| 60.25 | 2 |
| 63.76 | 31 |
| 69.74 | 11 |
| 71.46 | 8 |
| 77.82 | 5 |